No. 1
This entry pairs a crystal structure of SmHo6Sc6 with its calculated X-ray powder pattern. Radiation: copper Kα. Structure: a crystal structure in Alexandria, relaxed with PBE.

Structural model:
a = 6.398 Å, b = 6.398 Å, c = 10.874 Å
α = 90.00°, β = 90.00°, γ = 120.00°
Positions (direct):
Sm1 0.000 0.000 0.000
Ho1 0.000 0.000 0.341
Ho2 0.000 0.000 0.659
Ho3 0.333 0.667 0.000
Ho4 0.333 0.667 0.500
Ho5 0.667 0.333 0.000
Ho6 0.667 0.333 0.500
Sc1 0.000 0.500 0.242
Sc2 0.000 0.500 0.758
Sc3 0.500 0.000 0.242
Sc4 0.500 0.000 0.758
Sc5 0.500 0.500 0.242
Sc6 0.500 0.500 0.758

Most intense lines, 2θ from 10° to 90°, by angle:
27.89 deg, I = 100
29.45 deg, I = 38
32.48 deg, I = 72
36.40 deg, I = 31
36.83 deg, I = 20
37.50 deg, I = 20
49.35 deg, I = 21
50.33 deg, I = 22
57.63 deg, I = 23
58.54 deg, I = 34

---

No. 2
This entry pairs a crystal structure of Sm2Ho4Sc3 with its calculated X-ray powder pattern. Radiation: copper Kα. Structure: a crystal structure in Alexandria, relaxed with PBE.

Structural model:
a = 3.495 Å, b = 3.495 Å, c = 25.357 Å
α = 90.00°, β = 90.00°, γ = 120.00°
Positions (direct):
Sm1 0.000 0.000 0.000
Sm2 0.000 0.000 0.214
Ho1 0.000 0.000 0.352
Ho2 0.000 0.000 0.560
Ho3 0.333 0.667 0.674
Ho4 0.333 0.667 0.883
Sc1 0.000 0.000 0.778
Sc2 0.333 0.667 0.108
Sc3 0.333 0.667 0.455

Most intense lines, 2θ from 10° to 90°, by angle:
10.47 deg, I = 26
21.02 deg, I = 25
29.51 deg, I = 47
29.73 deg, I = 31
31.76 deg, I = 35
32.79 deg, I = 45
34.51 deg, I = 100
52.36 deg, I = 32
59.47 deg, I = 29
62.55 deg, I = 29

---

No. 3
This entry pairs a crystal structure of SmHo3Sc with its calculated X-ray powder pattern. Radiation: copper Kα. Structure: a crystal structure in Alexandria, relaxed with PBE.

Structural model:
a = 14.294 Å, b = 14.294 Å, c = 14.294 Å
α = 14.08°, β = 14.08°, γ = 14.08°
Positions (direct):
Sm1 0.000 0.000 0.000
Ho1 0.402 0.402 0.402
Ho2 0.597 0.597 0.597
Ho3 0.803 0.803 0.803
Sc1 0.200 0.200 0.200

Most intense lines, 2θ from 10° to 90°, by angle:
31.30 deg, I = 100
31.62 deg, I = 31
36.39 deg, I = 66
52.21 deg, I = 24
52.62 deg, I = 22
62.15 deg, I = 14
62.33 deg, I = 27
62.70 deg, I = 12
65.31 deg, I = 12
85.41 deg, I = 12

---

No. 4
This entry pairs a crystal structure of SmHo3Sc2 with its calculated X-ray powder pattern. Radiation: copper Kα. Structure: a crystal structure in Alexandria, relaxed with PBE.

Structural model:
a = 8.620 Å, b = 8.620 Å, c = 5.446 Å
α = 90.00°, β = 90.00°, γ = 68.38°
Positions (direct):
Sm1 0.228 0.772 0.750
Sm2 0.772 0.228 0.250
Ho1 0.130 0.390 0.250
Ho2 0.390 0.130 0.750
Ho3 0.405 0.595 0.250
Ho4 0.595 0.405 0.750
Ho5 0.610 0.870 0.250
Ho6 0.870 0.610 0.750
Sc1 0.014 0.200 0.750
Sc2 0.200 0.014 0.250
Sc3 0.800 0.986 0.750
Sc4 0.986 0.800 0.250

Most intense lines, 2θ from 10° to 90°, by angle:
24.60 deg, I = 70
24.98 deg, I = 54
27.64 deg, I = 13
32.87 deg, I = 100
35.34 deg, I = 100
39.28 deg, I = 14
41.74 deg, I = 28
57.64 deg, I = 13
58.68 deg, I = 13
60.32 deg, I = 21

---

No. 5
This entry pairs a crystal structure of Sm12Ho2Sc with its calculated X-ray powder pattern. Radiation: copper Kα. Structure: a crystal structure in Alexandria, relaxed with PBE.

Structural model:
a = 6.744 Å, b = 6.744 Å, c = 24.605 Å
α = 90.00°, β = 90.00°, γ = 116.02°
Positions (direct):
Sm1 0.001 0.501 0.125
Sm2 0.001 0.999 0.928
Sm3 0.018 0.518 0.587
Sm4 0.023 0.977 0.439
Sm5 0.250 0.250 0.197
Sm6 0.250 0.250 0.324
Sm7 0.250 0.250 0.676
Sm8 0.250 0.250 0.803
Sm9 0.477 0.523 0.439
Sm10 0.482 0.982 0.587
Sm11 0.499 0.501 0.928
Sm12 0.499 0.999 0.125
Sm13 0.501 0.001 0.875
Sm14 0.501 0.499 0.072
Sm15 0.518 0.018 0.413
Sm16 0.523 0.477 0.561
Sm17 0.750 0.750 0.197
Sm18 0.750 0.750 0.324
Sm19 0.750 0.750 0.676
Sm20 0.750 0.750 0.803
Sm21 0.977 0.023 0.561
Sm22 0.982 0.482 0.413
Sm23 0.999 0.001 0.072
Sm24 0.999 0.499 0.875
Ho1 0.250 0.750 0.268
Ho2 0.250 0.750 0.736
Ho3 0.750 0.250 0.264
Ho4 0.750 0.250 0.732
Sc1 0.250 0.750 0.000
Sc2 0.750 0.250 0.000

Most intense lines, 2θ from 10° to 90°, by angle:
28.90 deg, I = 22
29.83 deg, I = 33
30.38 deg, I = 100
31.28 deg, I = 69
32.95 deg, I = 39
33.07 deg, I = 63
36.88 deg, I = 35
43.12 deg, I = 19
61.16 deg, I = 21
62.25 deg, I = 21

---

No. 6
This entry pairs a crystal structure of Sm2HoSc with its calculated X-ray powder pattern. Radiation: copper Kα. Structure: a crystal structure in Alexandria, relaxed with PBE.

Structural model:
a = 5.608 Å, b = 7.179 Å, c = 6.151 Å
α = 90.00°, β = 90.00°, γ = 90.00°
Positions (direct):
Sm1 0.250 0.002 0.171
Sm2 0.250 0.498 0.171
Sm3 0.750 0.502 0.829
Sm4 0.750 0.998 0.829
Ho1 0.250 0.250 0.659
Ho2 0.750 0.750 0.341
Sc1 0.250 0.750 0.668
Sc2 0.750 0.250 0.332

Most intense lines, 2θ from 10° to 90°, by angle:
20.09 deg, I = 13
28.80 deg, I = 24
31.92 deg, I = 36
33.02 deg, I = 100
33.23 deg, I = 49
43.52 deg, I = 15
51.32 deg, I = 19
57.58 deg, I = 20
61.72 deg, I = 22
62.13 deg, I = 16

---

No. 7
This entry pairs a crystal structure of Sm15HoSc4 with its calculated X-ray powder pattern. Radiation: copper Kα. Structure: a crystal structure in Alexandria, relaxed with PBE.

Structural model:
a = 5.019 Å, b = 5.019 Å, c = 25.026 Å
α = 90.00°, β = 90.00°, γ = 90.00°
Positions (direct):
Sm1 0.000 0.000 0.000
Sm2 0.000 0.000 0.202
Sm3 0.000 0.000 0.401
Sm4 0.000 0.000 0.599
Sm5 0.000 0.000 0.798
Sm6 0.000 0.500 0.103
Sm7 0.000 0.500 0.301
Sm8 0.000 0.500 0.500
Sm9 0.000 0.500 0.699
Sm10 0.000 0.500 0.897
Sm11 0.500 0.000 0.103
Sm12 0.500 0.000 0.301
Sm13 0.500 0.000 0.500
Sm14 0.500 0.000 0.699
Sm15 0.500 0.000 0.897
Ho1 0.500 0.500 0.000
Sc1 0.500 0.500 0.202
Sc2 0.500 0.500 0.401
Sc3 0.500 0.500 0.599
Sc4 0.500 0.500 0.798

Most intense lines, 2θ from 10° to 90°, by angle:
17.69 deg, I = 7
25.11 deg, I = 6
30.89 deg, I = 100
35.78 deg, I = 34
35.88 deg, I = 17
51.55 deg, I = 35
61.26 deg, I = 28
61.41 deg, I = 14
64.36 deg, I = 12
84.19 deg, I = 11

---

No. 8
This entry pairs a crystal structure of Sm6HoSc4 with its calculated X-ray powder pattern. Radiation: copper Kα. Structure: a crystal structure in Alexandria, relaxed with PBE.

Structural model:
a = 10.664 Å, b = 10.664 Å, c = 3.454 Å
α = 90.00°, β = 90.00°, γ = 120.00°
Positions (direct):
Sm1 0.032 0.516 0.000
Sm2 0.138 0.276 0.500
Sm3 0.138 0.862 0.500
Sm4 0.484 0.516 0.000
Sm5 0.484 0.968 0.000
Sm6 0.724 0.862 0.500
Ho1 0.667 0.333 0.500
Sc1 0.333 0.667 0.500
Sc2 0.353 0.177 0.000
Sc3 0.823 0.177 0.000
Sc4 0.823 0.647 0.000

Most intense lines, 2θ from 10° to 90°, by angle:
19.22 deg, I = 26
25.52 deg, I = 23
29.01 deg, I = 25
32.37 deg, I = 100
33.62 deg, I = 63
36.60 deg, I = 14
47.36 deg, I = 23
50.54 deg, I = 20
59.33 deg, I = 13
64.26 deg, I = 19

---

No. 9
This entry pairs a crystal structure of Sm8Ho4Sc with its calculated X-ray powder pattern. Radiation: copper Kα. Structure: a crystal structure in Alexandria, relaxed with PBE.

Structural model:
a = 7.770 Å, b = 7.770 Å, c = 7.770 Å
α = 90.09°, β = 90.09°, γ = 90.09°
Positions (direct):
Sm1 0.244 0.244 0.244
Sm2 0.244 0.244 0.756
Sm3 0.244 0.756 0.244
Sm4 0.244 0.756 0.756
Sm5 0.756 0.244 0.244
Sm6 0.756 0.244 0.756
Sm7 0.756 0.756 0.244
Sm8 0.756 0.756 0.756
Ho1 0.000 0.000 0.000
Ho2 0.000 0.500 0.500
Ho3 0.500 0.000 0.500
Ho4 0.500 0.500 0.000
Sc1 0.500 0.500 0.500

Most intense lines, 2θ from 10° to 90°, by angle:
19.79 deg, I = 24
22.89 deg, I = 9
32.60 deg, I = 100
38.42 deg, I = 13
46.77 deg, I = 18
58.14 deg, I = 28
58.25 deg, I = 9
68.22 deg, I = 6
68.35 deg, I = 6
77.73 deg, I = 16

---

No. 10
This entry pairs a crystal structure of Sm8HoSc5 with its calculated X-ray powder pattern. Radiation: copper Kα. Structure: a crystal structure in Alexandria, relaxed with PBE.

Structural model:
a = 8.290 Å, b = 8.290 Å, c = 8.290 Å
α = 111.21°, β = 111.21°, γ = 106.05°
Positions (direct):
Sm1 0.081 0.339 0.604
Sm2 0.157 0.424 0.079
Sm3 0.345 0.078 0.921
Sm4 0.524 0.919 0.259
Sm5 0.576 0.655 0.733
Sm6 0.661 0.265 0.741
Sm7 0.735 0.476 0.396
Sm8 0.922 0.843 0.267
Ho1 0.250 0.750 0.500
Sc1 0.037 0.730 0.908
Sc2 0.270 0.179 0.307
Sc3 0.500 0.500 0.000
Sc4 0.821 0.128 0.092
Sc5 0.872 0.963 0.693

Most intense lines, 2θ from 10° to 90°, by angle:
23.03 deg, I = 88
28.49 deg, I = 100
29.99 deg, I = 79
30.17 deg, I = 81
34.44 deg, I = 91
35.24 deg, I = 95
35.72 deg, I = 84
47.06 deg, I = 33
47.68 deg, I = 36
57.47 deg, I = 33

---

No. 11
This entry pairs a crystal structure of Sm6HoSc2 with its calculated X-ray powder pattern. Radiation: copper Kα. Structure: a crystal structure in Alexandria, relaxed with PBE.

Structural model:
a = 5.573 Å, b = 5.573 Å, c = 10.385 Å
α = 90.00°, β = 90.00°, γ = 119.86°
Positions (direct):
Sm1 0.000 0.000 0.158
Sm2 0.000 0.000 0.842
Sm3 0.333 0.667 0.327
Sm4 0.333 0.667 0.673
Sm5 0.667 0.333 0.327
Sm6 0.667 0.333 0.673
Ho1 0.000 0.000 0.500
Sc1 0.333 0.667 0.000
Sc2 0.667 0.333 0.000

Most intense lines, 2θ from 10° to 90°, by angle:
25.18 deg, I = 8
31.80 deg, I = 99
32.10 deg, I = 100
45.81 deg, I = 36
57.01 deg, I = 25
57.13 deg, I = 25
63.23 deg, I = 27
67.19 deg, I = 8
76.16 deg, I = 11
81.64 deg, I = 9

---

No. 12
This entry pairs a crystal structure of Sm8HoSc2 with its calculated X-ray powder pattern. Radiation: copper Kα. Structure: a crystal structure in Alexandria, relaxed with PBE.

Structural model:
a = 9.252 Å, b = 9.252 Å, c = 9.252 Å
α = 145.60°, β = 126.38°, γ = 65.28°
Positions (direct):
Sm1 0.154 0.357 0.797
Sm2 0.161 0.161 0.000
Sm3 0.301 0.000 0.301
Sm4 0.440 0.643 0.797
Sm5 0.560 0.357 0.203
Sm6 0.699 0.000 0.699
Sm7 0.839 0.839 0.000
Sm8 0.846 0.643 0.203
Ho1 0.000 0.500 0.500
Sc1 0.299 0.799 0.500
Sc2 0.701 0.201 0.500

Most intense lines, 2θ from 10° to 90°, by angle:
22.53 deg, I = 20
30.13 deg, I = 31
32.00 deg, I = 100
32.72 deg, I = 55
34.54 deg, I = 18
46.94 deg, I = 16
48.32 deg, I = 14
52.66 deg, I = 13
57.96 deg, I = 18
62.91 deg, I = 14